Structure and calculated powder diffractogram of K2NbF7 (the PBE geometry in the Materials Project; CuKα).
No peak broadening, texture or thermal motion is included.

Most intense lines, 2θ from 10° to 90°, by angle:
2θ (°)  d_spacing  I (rel.)
16.39  5.408  57
17.08  5.191  100
19.32  4.595  46
20.36  4.362  43
25.25  3.527  22
25.53  3.489  71
26.19  3.403  30
26.31  3.388  47
27.52  3.241  48
42.01  2.151  25
43.29  2.090  27
45.95  1.975  24

```
40
Lattice="5.9557 0.0000 0.0000 0.0000 12.9175 0.0000 -0.0439 0.0000 8.7236" Properties=species:S:1:pos:R:3 pbc="T T T"
K 1.4105 0.7570 1.5782
K 1.3885 5.7018 5.9400
K 1.4134 9.2415 0.4669
K 1.3915 10.1348 4.8287
K 4.5203 2.7827 3.8949
K 4.4984 3.6760 8.2568
K 4.5233 7.2158 2.7837
K 4.5013 12.1605 7.1455
Nb 1.5762 1.6688 6.3187
Nb 1.5982 4.7900 1.9568
Nb 4.3136 8.1275 6.7668
Nb 4.3356 11.2488 2.4050
F 0.2166 1.3948 7.7711
F 0.2271 3.1538 6.1175
F 0.2491 3.3050 1.7557
F 0.2385 5.0640 3.4093
F 1.0618 1.5680 4.4190
F 1.0838 4.8907 0.0571
F 1.2434 6.7421 1.8902
F 1.2214 12.6343 6.2520
F 2.5979 7.4772 7.5646
F 2.6199 11.8991 3.2027
F 2.7112 3.1245 1.8601
F 2.6892 3.3343 6.2219
F 2.7128 1.4203 7.9490
F 2.7348 5.0385 3.5872
F 3.1770 7.8790 5.1364
F 3.1990 11.4973 0.7746
F 3.2226 9.5833 2.5017
F 3.2006 9.7930 6.8635
F 3.2919 1.0185 5.5209
F 3.3139 5.4403 1.1591
F 4.6904 0.2833 2.4717
F 4.6685 6.1755 6.8335
F 4.8280 8.0268 8.6665
F 4.8500 11.3495 4.3047
F 5.6733 7.8536 5.3144
F 5.6627 9.6125 6.9680
F 5.6847 9.7638 2.6062
F 5.6952 11.5227 0.9526
```

=====

Structure and calculated powder diffractogram of TmAlO3 (the PBE geometry in the Materials Project; CuKα).
No peak broadening, texture or thermal motion is included.

Most intense lines, 2θ from 10° to 90°, by angle:
2θ (°)  d_spacing  I (rel.)
23.91  3.721  60
24.09  3.695  37
26.82  3.324  26
33.33  2.688  18
34.20  2.622  100
34.80  2.578  25
35.53  2.526  18
41.54  2.174  18
42.77  2.114  26
48.96  1.861  19
55.70  1.650  23
62.01  1.497  22

```
20
Lattice="5.3767 0.0000 0.0000 0.0000 7.3899 0.0000 0.0000 0.0000 5.1552" Properties=species:S:1:pos:R:3 pbc="T T T"
Tm 0.3302 1.8475 0.0815
Tm 2.3581 5.5424 2.6592
Tm 3.0186 1.8475 2.4961
Tm 5.0465 5.5424 5.0737
Al 0.0000 0.0000 2.5776
Al 0.0000 3.6950 2.5776
Al 2.6884 0.0000 0.0000
Al 2.6884 3.6950 0.0000
O 0.1554 5.5424 2.0792
O 1.0872 4.0695 4.1198
O 1.0872 7.0153 4.1198
O 1.6011 0.3746 1.5421
O 1.6011 3.3204 1.5421
O 2.5330 1.8475 4.6569
O 2.8437 5.5424 0.4984
O 3.7756 4.0695 3.6131
O 3.7756 7.0153 3.6131
O 4.2895 0.3746 1.0355
O 4.2895 3.3204 1.0355
O 5.2213 1.8475 3.0760
```

=====

Structure and calculated powder diffractogram of CrSe2 (the PBE geometry in the Materials Project; CuKα).
No peak broadening, texture or thermal motion is included.

Most intense lines, 2θ from 10° to 90°, by angle:
2θ (°)  d_spacing  I (rel.)
15.04  5.889  19
30.35  2.945  11
33.09  2.707  100
42.69  2.118  39
51.96  1.760  28
55.69  1.650  22
61.37  1.511  9
63.00  1.476  15
69.44  1.354  9
79.64  1.204  8
85.97  1.131  13
86.11  1.129  13

```
3
Lattice="3.5199 0.0000 0.0000 -1.7599 3.0483 0.0000 0.0000 0.0000 5.8892" Properties=species:S:1:pos:R:3 pbc="T T T"
Cr 0.0000 0.0000 0.0000
Se 0.0000 2.0322 1.4509
Se 1.7599 1.0161 4.4383
```

=====

Structure and calculated powder diffractogram of Mn3V17Si12 (the PBE geometry in the Materials Project; CuKα).
No peak broadening, texture or thermal motion is included.

Most intense lines, 2θ from 10° to 90°, by angle:
2θ (°)  d_spacing  I (rel.)
38.15  2.359  25
38.68  2.328  13
39.74  2.268  35
39.85  2.262  36
42.98  2.104  50
43.40  2.085  36
43.53  2.079  36
44.48  2.037  100
47.41  1.917  52
72.97  1.296  14
73.36  1.291  20
85.96  1.131  12

```
32
Lattice="13.1926 0.0000 0.0000 0.0000 6.5716 2.3590 0.0000 -6.5716 2.3590" Properties=species:S:1:pos:R:3 pbc="T T T"
Mn 0.0000 0.0000 0.0000
Mn 0.0000 0.0000 2.3368
Mn 6.5963 0.0000 2.3555
V 1.2737 -2.3335 1.1638
V 1.2737 2.3335 1.1638
V 2.3245 -1.2802 3.5321
V 2.3245 1.2802 3.5321
V 4.2527 -1.2990 1.1592
V 4.2527 1.2990 1.1592
V 5.2934 -2.3151 3.5482
V 5.2934 2.3151 3.5482
V 6.5963 0.0000 4.7154
V 7.8991 -2.3151 3.5482
V 7.8991 2.3151 3.5482
V 8.9398 -1.2990 1.1592
V 8.9398 1.2990 1.1592
V 10.8681 -1.2802 3.5321
V 10.8681 1.2802 3.5321
V 11.9189 -2.3335 1.1638
V 11.9189 2.3335 1.1638
Si 0.0000 -2.0867 3.5277
Si 0.0000 2.0867 3.5277
Si 2.1193 0.0000 1.1673
Si 3.2839 -3.2783 2.3509
Si 3.2839 3.2783 2.3509
Si 4.4385 0.0000 3.5001
Si 6.5963 -2.1376 1.2109
Si 6.5963 2.1376 1.2109
Si 8.7541 0.0000 3.5001
Si 9.9086 -3.2783 2.3509
Si 9.9086 3.2783 2.3509
Si 11.0732 0.0000 1.1673
```

=====

Structure and calculated powder diffractogram of PmZn2Au (the PBE geometry in the Materials Project; CuKα).
No peak broadening, texture or thermal motion is included.

Most intense lines, 2θ from 10° to 90°, by angle:
2θ (°)  d_spacing  I (rel.)
22.77  3.906  2
26.35  3.383  21
37.60  2.392  100
44.41  2.040  1
46.50  1.953  6
54.23  1.691  17
59.56  1.552  1
61.27  1.513  9
67.87  1.381  35
80.27  1.196  11
84.77  1.144  1
86.27  1.128  5

```
4
Lattice="0.0000 3.3828 3.3828 3.3828 0.0000 3.3828 3.3828 3.3828 0.0000" Properties=species:S:1:pos:R:3 pbc="T T T"
Pm 0.0000 0.0000 0.0000
Zn 1.6914 1.6914 1.6914
Zn 5.0742 5.0742 5.0742
Au 3.3828 3.3828 3.3828
```